For AcErRhI, a DFT-relaxed cell (PBE, Alexandria) gives the simulated powder X-ray diffraction pattern in this record (Cu Kα, 1.54184 Å).

Peak list (6 most intense, 10° ≤ 2θ ≤ 90°, sorted by position)
d (Å), 2θ (°), intensity
8.291, 10.67, 21
3.134, 28.48, 35
2.932, 30.49, 100
2.095, 43.18, 43
2.052, 44.14, 27
1.705, 53.78, 20

Structural model:
```
4
Lattice="2.0951 1.2096 8.2913 -2.0951 1.2096 8.2913 0.0000 -2.4193 8.2913" Properties=species:S:1:pos:R:3 pbc="T T T"
Ac 0.0000 0.0000 0.0000
Er 0.0000 0.0000 19.6167
Rh 0.0000 0.0000 9.9687
I 0.0000 0.0000 5.4413
```